Entry 1:
Theoretical powder diffractogram
Compound: Li6AlCrO6
Radiation: a wavelength of 1.5418 Å
Structure: the GGA+U geometry in Alexandria
No peak broadening, texture or thermal motion is included.

Largest 8 diffraction maxima, in order of falling intensity, 2θ = 10–90°:
- 38.2°, rel. 100, (2 -1 2)
- 50.5°, rel. 72, (2 -1 4)
- 18.2°, rel. 65, (0 0 2)
- 21.1°, rel. 54, (1 0 1)
- 19.0°, rel. 52, (1 0 0)
- 26.4°, rel. 48, (1 0 2)
- 59.4°, rel. 33, (3 0 0)
- 67.3°, rel. 17, (1 1 6)

Cell: 5.3882 5.3882 9.7489 Å, 90.00 90.00 120.00°
Space group P-31c (No. 163)
Asymmetric unit:
1 Li 0.0620 0.3782 0.0769
2 Al 0.3333 0.6667 0.7500
3 Cr 0.0000 0.0000 0.2500
4 O 0.0530 0.3482 0.8659



Entry 2:
Theoretical powder diffractogram
Compound: Li2AlCr2SbO8
Radiation: a wavelength of 1.5418 Å
Structure: the GGA+U geometry in Alexandria
No peak broadening, texture or thermal motion is included.

Largest 8 diffraction maxima, in order of falling intensity, 2θ = 10–90°:
- 19.7°, rel. 100, (1 1 -1)
- 19.6°, rel. 49, (2 0 1)
- 35.8°, rel. 44, (3 1 2)
- 33.0°, rel. 43, (1 1 -3)
- 25.5°, rel. 38, (1 1 2)
- 35.6°, rel. 25, (3 1 -2)
- 62.9°, rel. 21, (6 2 0)
- 36.5°, rel. 21, (2 2 -1)

Cell: 10.256 5.871 9.604 Å, 90.00 90.32 90.00°
Space group Cm (No. 8)
Asymmetric unit:
1 Li 0.000 0.000 0.000
2 Li 0.004 0.000 0.509
3 Li 0.170 0.500 0.591
4 Li 0.339 0.000 0.084
5 Al 0.418 0.244 0.779
6 Cr 0.089 0.254 0.280
7 Cr 0.174 0.000 0.780
8 Cr 0.335 0.500 0.279
9 Sb 0.169 0.500 0.003
10 Sb 0.339 0.000 0.509
11 O 0.003 0.000 0.185
12 O 0.022 0.500 0.149
13 O 0.081 0.250 0.894
14 O 0.169 0.000 0.402
15 O 0.172 0.500 0.386
16 O 0.244 0.275 0.148
17 O 0.267 0.225 0.653
18 O 0.336 0.500 0.891
19 O 0.345 0.000 0.879
20 O 0.423 0.253 0.400
21 O 0.486 0.000 0.655
22 O 0.495 0.500 0.697



Entry 3:
Theoretical powder diffractogram
Compound: Li2Al2CrSbO8
Radiation: a wavelength of 1.5418 Å
Structure: the GGA+U geometry in Alexandria
No peak broadening, texture or thermal motion is included.

Largest 8 diffraction maxima, in order of falling intensity, 2θ = 10–90°:
- 19.9°, rel. 100, (1 1 -1)
- 36.1°, rel. 38, (0 2 2)
- 33.2°, rel. 35, (2 0 -3)
- 25.7°, rel. 30, (2 0 -2)
- 20.0°, rel. 27, (2 0 1)
- 40.5°, rel. 18, (4 0 -2)
- 36.2°, rel. 17, (3 1 2)
- 64.1°, rel. 16, (6 2 0)

Cell: 10.048 5.832 9.566 Å, 90.00 90.25 90.00°
Space group Cm (No. 8)
Asymmetric unit:
1 Li 0.000 0.000 0.000
2 Li 0.005 0.000 0.494
3 Li 0.169 0.500 0.920
4 Li 0.333 0.000 0.413
5 Al 0.085 0.255 0.224
6 Al 0.172 0.000 0.724
7 Al 0.330 0.500 0.224
8 Cr 0.417 0.245 0.724
9 Sb 0.169 0.500 0.494
10 Sb 0.333 0.000 0.999
11 O 0.001 0.000 0.305
12 O 0.012 0.000 0.814
13 O 0.018 0.500 0.349
14 O 0.089 0.244 0.606
15 O 0.164 0.000 0.112
16 O 0.166 0.500 0.125
17 O 0.242 0.277 0.347
18 O 0.258 0.223 0.852
19 O 0.326 0.000 0.619
20 O 0.340 0.500 0.601
21 O 0.418 0.254 0.111
22 O 0.485 0.000 0.856